For Pr2ErTmBi4, a PBE-relaxed structure gives the simulated powder diffractogram in this record (Cu Kα).

Atomic structure:
Cell: 7.8537 4.5498 7.8751 Å, 90.00 109.52 90.00°
Positions (direct):
Pr (0.0000, 0.0000, 0.0000)
Pr (0.0000, 0.5000, 0.5000)
Er (0.5000, 0.0000, 0.5000)
Tm (0.5000, 0.5000, 0.0000)
Bi (0.2633, 0.5000, 0.2540)
Bi (0.2638, 0.0000, 0.7550)
Bi (0.7362, 0.0000, 0.2450)
Bi (0.7367, 0.5000, 0.7460)

Main lines, most intense first (2θ from 15° to 90°):
| 2θ (°) | I_rel |
| --- | --- |
| 27.77 | 100 |
| 39.63 | 40 |
| 39.73 | 38 |
| 49.08 | 22 |
| 71.95 | 21 |
| 64.84 | 19 |
| 64.97 | 18 |
| 57.37 | 13 |